No. 1
Starting from a crystal structure in Alexandria, relaxed with PBE, the XRD peak list of Cs3TeBr6 was calculated for Cu Kα X-rays.
Lines closer than 0.1° are merged.

```
data_Cs3TeBr6
_symmetry_space_group_name_H-M 'P 1'
_symmetry_Int_Tables_number 1
_symmetry_space_group_name_Hall 'P 1'
_cell_length_a 9.969
_cell_length_b 9.969
_cell_length_c 9.969
_cell_angle_alpha 96.06
_cell_angle_beta 96.06
_cell_angle_gamma 96.06
loop_
_atom_site_label
_atom_site_fract_x
_atom_site_fract_y
_atom_site_fract_z
_atom_site_occupancy
Cs1 0.108 0.797 0.621 1
Cs2 0.203 0.379 0.892 1
Cs3 0.379 0.892 0.203 1
Cs4 0.621 0.108 0.797 1
Cs5 0.797 0.621 0.108 1
Cs6 0.892 0.203 0.379 1
Te1 0.000 0.000 0.000 1
Te2 0.500 0.500 0.500 1
Br1 0.040 0.899 0.286 1
Br2 0.101 0.714 0.960 1
Br3 0.227 0.448 0.518 1
Br4 0.286 0.040 0.899 1
Br5 0.448 0.518 0.227 1
Br6 0.482 0.773 0.552 1
Br7 0.518 0.227 0.448 1
Br8 0.552 0.482 0.773 1
Br9 0.714 0.960 0.101 1
Br10 0.773 0.552 0.482 1
Br11 0.899 0.286 0.040 1
Br12 0.960 0.101 0.714 1
```

The 10 most intense peaks (5 to 70 degrees two-theta), by angle:
2θ = 13.45°, rel. 44; 2θ = 19.19°, rel. 70; 2θ = 27.62°, rel. 32; 2θ = 29.70°, rel. 100; 2θ = 31.95°, rel. 51; 2θ = 32.57°, rel. 21; 2θ = 34.60°, rel. 27; 2θ = 38.94°, rel. 17; 2θ = 44.18°, rel. 18; 2θ = 51.24°, rel. 24

No. 2
Starting from a crystal structure in Alexandria, relaxed with PBE, the XRD peak list of Cs3TeBr7 was calculated for Cu Kα X-rays.
Lines closer than 0.1° are merged.

```
data_Cs3TeBr7
_symmetry_space_group_name_H-M 'P 1'
_symmetry_Int_Tables_number 1
_symmetry_space_group_name_Hall 'P 1'
_cell_length_a 7.430
_cell_length_b 7.430
_cell_length_c 9.158
_cell_angle_alpha 99.02
_cell_angle_beta 99.02
_cell_angle_gamma 94.10
loop_
_atom_site_label
_atom_site_fract_x
_atom_site_fract_y
_atom_site_fract_z
_atom_site_occupancy
Cs1 0.000 0.000 0.000 1
Cs2 0.295 0.752 0.552 1
Cs3 0.752 0.295 0.552 1
Te1 0.473 0.473 0.053 1
Br1 0.135 0.487 0.880 1
Br2 0.322 0.322 0.289 1
Br3 0.451 0.815 0.201 1
Br4 0.487 0.135 0.880 1
Br5 0.627 0.627 0.853 1
Br6 0.815 0.451 0.201 1
Br7 0.837 0.837 0.607 1
```

The 10 most intense peaks (5 to 70 degrees two-theta), by angle:
2θ = 12.12°, rel. 23; 2θ = 19.12°, rel. 42; 2θ = 23.64°, rel. 53; 2θ = 24.72°, rel. 24; 2θ = 27.94°, rel. 100; 2θ = 28.83°, rel. 38; 2θ = 32.94°, rel. 19; 2θ = 34.37°, rel. 39; 2θ = 35.55°, rel. 22; 2θ = 39.30°, rel. 26

No. 3
Starting from a crystal structure in Alexandria, relaxed with PBE, the XRD peak list of Cs3TiBr7 was calculated for Cu Kα X-rays.
Lines closer than 0.1° are merged.

```
data_Cs3TiBr7
_symmetry_space_group_name_H-M 'P 1'
_symmetry_Int_Tables_number 1
_symmetry_space_group_name_Hall 'P 1'
_cell_length_a 10.766
_cell_length_b 10.766
_cell_length_c 7.642
_cell_angle_alpha 90.00
_cell_angle_beta 90.00
_cell_angle_gamma 90.00
loop_
_atom_site_label
_atom_site_fract_x
_atom_site_fract_y
_atom_site_fract_z
_atom_site_occupancy
Cs1 0.000 0.000 0.000 1
Cs2 0.177 0.323 0.500 1
Cs3 0.323 0.823 0.500 1
Cs4 0.500 0.500 0.000 1
Cs5 0.677 0.177 0.500 1
Cs6 0.823 0.677 0.500 1
Ti1 0.000 0.500 0.000 1
Ti2 0.500 0.000 0.000 1
Br1 0.000 0.000 0.500 1
Br2 0.117 0.617 0.235 1
Br3 0.117 0.617 0.765 1
Br4 0.166 0.334 0.000 1
Br5 0.334 0.834 0.000 1
Br6 0.383 0.117 0.235 1
Br7 0.383 0.117 0.765 1
Br8 0.500 0.500 0.500 1
Br9 0.617 0.883 0.235 1
Br10 0.617 0.883 0.765 1
Br11 0.666 0.166 0.000 1
Br12 0.834 0.666 0.000 1
Br13 0.883 0.383 0.235 1
Br14 0.883 0.383 0.765 1
```

The 10 most intense peaks (5 to 70 degrees two-theta), by angle:
2θ = 23.34°, rel. 33; 2θ = 26.16°, rel. 70; 2θ = 29.86°, rel. 100; 2θ = 33.23°, rel. 21; 2θ = 34.34°, rel. 16; 2θ = 44.48°, rel. 15; 2θ = 51.61°, rel. 15; 2θ = 55.13°, rel. 13; 2θ = 55.26°, rel. 21; 2θ = 56.67°, rel. 14